[1]
Diffraction record for Pr4CoI5. The powder diffractogram is theoretical, not measured: it uses the GGA-PBE geometry in the Materials Project and Cu Kα (λ = 1.5418 Å).

Top 10 peaks for 15 to 90 degrees two-theta, by angle:
- 28.09°, I 100, hkl 1 1 -2
- 28.27°, I 34, hkl 6 0 0
- 31.42°, I 12, hkl 5 1 0
- 38.38°, I 17, hkl 2 0 -4
- 40.13°, I 25, hkl 5 1 2
- 40.43°, I 24, hkl 7 1 -2
- 41.86°, I 16, hkl 0 2 0
- 48.09°, I 11, hkl 4 0 4
- 51.29°, I 15, hkl 6 2 0
- 58.08°, I 12, hkl 2 2 -4

Cell and atoms:
Unit cell a=19.466 b=4.316 c=9.383 alpha=90.00 beta=103.36 gamma=90.00
Space group C2/m (No. 12)
One atom of each set of equivalent atoms:
Pr1 0.001 0.000 0.287 (multiplicity 4)
Pr2 0.135 0.500 0.569 (multiplicity 4)
Co1 0.000 0.500 0.500 (multiplicity 2)
I1 0.000 0.500 0.000 (multiplicity 2)
I2 0.167 0.000 0.838 (multiplicity 4)
I3 0.173 0.000 0.331 (multiplicity 4)

[2]
Diffraction record for YBrO. The powder diffractogram is theoretical, not measured: it uses the GGA-PBE geometry in the Materials Project and Cu Kα (λ = 1.5418 Å).

Top 10 peaks for 15 to 90 degrees two-theta, by angle:
- 30.79°, I 100, hkl 1 0 2
- 32.74°, I 43, hkl 1 1 0
- 38.54°, I 14, hkl 1 0 3
- 38.77°, I 12, hkl 1 1 2
- 46.98°, I 22, hkl 2 0 0
- 47.58°, I 10, hkl 1 0 4
- 53.47°, I 13, hkl 1 1 4
- 57.22°, I 33, hkl 2 1 2
- 62.82°, I 9, hkl 1 1 5
- 78.13°, I 7, hkl 3 1 0

Cell and atoms:
Unit cell a=3.868 b=3.868 c=8.793 alpha=90.00 beta=90.00 gamma=90.00
Space group P4/nmm (No. 129, origin choice 2)
One atom of each set of equivalent atoms:
Y1 0.250 0.250 0.129 (multiplicity 2)
Br1 0.250 0.250 0.679 (multiplicity 2)
O1 0.250 0.750 0.000 (multiplicity 2)

[3]
Diffraction record for BaNaN. The powder diffractogram is theoretical, not measured: it uses the GGA-PBE geometry in the Materials Project and Cu Kα (λ = 1.5418 Å).

Top 10 peaks for 15 to 90 degrees two-theta, by angle:
- 15.71°, I 55, hkl 0 0 2
- 25.37°, I 48, hkl 1 0 0
- 29.98°, I 100, hkl 1 0 2
- 41.05°, I 37, hkl 1 0 4
- 44.70°, I 23, hkl 1 1 0
- 47.67°, I 19, hkl 1 1 2
- 54.76°, I 18, hkl 2 0 2
- 55.43°, I 16, hkl 1 0 6
- 55.85°, I 15, hkl 1 1 4
- 73.28°, I 15, hkl 2 1 2

Cell and atoms:
Unit cell a=4.0544 b=4.0544 c=11.2820 alpha=90.00 beta=90.00 gamma=120.00
Space group P6_3mc (No. 186)
One atom of each set of equivalent atoms:
Ba1 0.0000 0.0000 0.0000 (multiplicity 2)
Na1 0.3333 0.6667 0.2051 (multiplicity 2)
N1 0.3333 0.6667 0.6064 (multiplicity 2)